[1]
# EuZn2
Calculated X-ray powder pattern, CuKα. Input: the GGA-PBE geometry in Alexandria.

Peak list (10 most intense, 2θ from 10° to 80°, by angle)
hkl	two_theta	Rel. int.
0 0 1	22.33	17
1 1 1	32.49	24
3 1 -1	32.61	25
0 2 1	32.78	100
2 2 0	33.46	36
1 3 0	37.81	22
2 0 -2	38.60	36
2 0 1	40.27	20
4 0 -1	40.42	19
3 3 -2	55.14	14

Structural model:
Lattice parameters (Å, degrees): 8.936 7.511 4.666 90.00 121.23 90.00
Space group C2/m (No. 12)
One atom of each set of equivalent atoms:
Eu 0.201 0.000 0.452 (multiplicity 4)
Zn 0.086 0.312 0.835 (multiplicity 8)


[2]
# EuZr2
Calculated X-ray powder pattern, CuKα. Input: the GGA-PBE geometry in Alexandria.

Peak list (10 most intense, 2θ from 10° to 80°, by angle)
hkl	two_theta	Rel. int.
1 1 1	17.47	1
2 2 0	28.71	44
3 1 1	33.80	100
2 2 2	35.36	25
4 2 2	50.87	18
5 1 1	54.20	34
4 4 0	59.46	27
6 2 0	67.34	8
5 3 3	70.18	12
6 2 2	71.11	9

Structural model:
Lattice parameters (Å, degrees): 8.794 8.794 8.794 90.00 90.00 90.00
Space group Fd-3m (No. 227, origin choice 2)
One atom of each set of equivalent atoms:
Eu 0.125 0.125 0.125 (multiplicity 8)
Zr 0.000 0.000 0.500 (multiplicity 16)


Question: Which formula does entry 1 have?
Answer: EuZn2